Theoretical X-ray powder pattern of Rb2Sn2Te5 for Cu Kα X-rays, from a cell relaxed with GGA-PBE.
No peak broadening, texture or thermal motion is included.

The 6 most intense peaks (15 to 90 degrees two-theta), by angle:
2θ/deg	I/Imax
15.41	38
22.86	58
25.28	27
29.76	100
31.12	51
43.15	35

Cell and atoms:
```
18
Lattice="11.1405 -4.9692 0.0000 11.1405 4.9692 0.0000 -2.2263 0.0000 6.6862" Properties=species:S:1:pos:R:3 pbc="T T T"
Rb 10.0274 3.0184 3.3431
Rb 14.3125 1.9577 4.7738
Rb 11.1405 -3.0184 0.0000
Rb 15.4256 -1.9577 1.4307
Sn 5.8961 1.6150 6.1908
Sn 13.2783 2.4799 0.7978
Sn 7.0092 -1.6150 2.8477
Sn 12.1652 -2.4799 4.1409
Te 2.0433 0.0099 2.5989
Te 0.9302 -0.0099 5.9420
Te 8.1418 3.2304 6.3877
Te 7.2325 1.0915 2.1566
Te 6.1193 -1.0915 5.4997
Te 16.2406 1.7255 1.6595
Te 11.1170 0.0092 5.6241
Te 12.2302 -0.0092 2.2810
Te 9.2550 -3.2304 3.0446
Te 15.1274 -1.7255 5.0026
```

***

Theoretical X-ray powder pattern of Ba2Zn4CdGe3 for Cu Kα X-rays, from a cell relaxed with GGA-PBE.
No peak broadening, texture or thermal motion is included.

The 6 most intense peaks (15 to 90 degrees two-theta), by angle:
2θ/deg	I/Imax
31.11	53
32.23	100
39.80	57
45.30	24
51.36	25
67.50	25

Cell and atoms:
```
10
Lattice="4.5296 0.0000 0.0000 0.0000 4.5296 0.0000 0.0000 0.0000 11.1575" Properties=species:S:1:pos:R:3 pbc="T T T"
Ba 0.0000 2.2648 2.6676
Ba 2.2648 0.0000 8.4899
Zn 0.0000 0.0000 0.0000
Zn 0.0000 2.2648 7.1283
Zn 2.2648 0.0000 4.0292
Zn 2.2648 2.2648 0.0000
Cd 0.0000 0.0000 5.5788
Ge 0.0000 2.2648 9.7410
Ge 2.2648 0.0000 1.4166
Ge 2.2648 2.2648 5.5788
```

***

Theoretical X-ray powder pattern of Sc8Ge3Te3As for Cu Kα X-rays, from a cell relaxed with GGA-PBE.
No peak broadening, texture or thermal motion is included.

The 6 most intense peaks (15 to 90 degrees two-theta), by angle:
2θ/deg	I/Imax
27.44	14
31.61	100
44.92	34
45.70	35
56.63	18
75.62	15

Cell and atoms:
```
15
Lattice="3.9702 2.2922 6.6461 -3.9702 2.2922 6.6461 0.0000 -4.5844 6.6461" Properties=species:S:1:pos:R:3 pbc="T T T"
Sc -2.0093 -1.1601 11.4284
Sc 0.0000 0.0000 4.7708
Sc 0.0000 -2.3201 8.5099
Sc -2.0093 1.1601 8.5099
Sc 2.0093 -1.1601 11.4284
Sc 0.0000 2.3201 11.4284
Sc 0.0000 0.0000 15.1675
Sc 2.0093 1.1601 8.5099
Ge -3.9702 0.0000 9.9691
Ge -1.9851 1.1461 3.3230
Ge 1.9851 1.1461 3.3230
Te -1.9851 -1.1461 6.6461
Te -1.9851 1.1461 13.2922
Te 0.0000 2.2922 6.6461
As 0.0000 0.0000 9.9691
```

***

Theoretical X-ray powder pattern of SrTh3Ir8 for Cu Kα X-rays, from a cell relaxed with GGA-PBE.
No peak broadening, texture or thermal motion is included.

The 6 most intense peaks (15 to 90 degrees two-theta), by angle:
2θ/deg	I/Imax
32.81	26
38.68	100
40.48	40
62.52	33
68.79	29
82.97	16

Cell and atoms:
```
12
Lattice="2.7302 1.5763 8.9085 -2.7302 1.5763 8.9085 0.0000 -3.1526 8.9085" Properties=species:S:1:pos:R:3 pbc="T T T"
Sr 0.0000 0.0000 0.0000
Th 0.0000 0.0000 3.3003
Th 0.0000 0.0000 13.4416
Th 0.0000 0.0000 16.8142
Ir 0.0000 -1.5631 6.1193
Ir -1.3537 0.7816 6.1193
Ir -1.3498 -0.7793 10.6450
Ir 0.0000 0.0000 8.3872
Ir 1.3537 0.7816 6.1193
Ir 1.3498 -0.7793 10.6450
Ir 0.0000 1.5586 10.6450
Ir 0.0000 0.0000 21.7443
```

***

Theoretical X-ray powder pattern of Na2SiBiTe4 for Cu Kα X-rays, from a cell relaxed with GGA-PBE.
No peak broadening, texture or thermal motion is included.

The 6 most intense peaks (15 to 90 degrees two-theta), by angle:
2θ/deg	I/Imax
16.54	42
20.17	78
21.05	69
25.69	100
36.37	77
45.06	68

Cell and atoms:
```
16
Lattice="10.3225 0.0000 0.0000 0.0000 8.4418 0.0000 0.0000 0.0000 6.9358" Properties=species:S:1:pos:R:3 pbc="T T T"
Na 2.5311 1.3255 0.0000
Na 2.6301 7.1162 3.4679
Na 7.6923 7.1162 3.4679
Na 7.7914 1.3255 0.0000
Si 0.0000 5.4961 0.5079
Si 5.1612 2.9456 3.9758
Bi 0.0000 2.7600 3.6103
Bi 5.1612 5.6818 0.1424
Te 0.0000 2.9869 0.0229
Te 0.0000 5.6295 3.0606
Te 2.1555 6.6558 6.6394
Te 3.0057 1.7860 3.1715
Te 5.1612 2.8123 6.5285
Te 5.1612 5.4548 3.4908
Te 7.3167 1.7860 3.1715
Te 8.1669 6.6558 6.6394
```

***

Theoretical X-ray powder pattern of GdAl22O34 for Cu Kα X-rays, from a cell relaxed with GGA-PBE.
No peak broadening, texture or thermal motion is included.

The 6 most intense peaks (15 to 90 degrees two-theta), by angle:
2θ/deg	I/Imax
16.18	60
18.31	57
18.88	61
32.05	68
45.72	100
67.14	59

Cell and atoms:
```
57
Lattice="5.6475 0.0000 0.0000 -0.0268 9.8114 0.0000 -2.7877 -1.6572 11.3188" Properties=species:S:1:pos:R:3 pbc="T T T"
Gd 0.0000 0.0000 0.0000
Al -1.3939 -0.8286 5.6594
Al -1.4109 5.7045 6.2089
Al -1.4105 0.8133 8.1338
Al 0.0028 4.9053 3.2056
Al 0.0425 0.0054 3.3336
Al -1.4218 5.6929 9.6252
Al 1.4180 7.3505 1.6663
Al -0.0077 3.2428 8.1200
Al -0.0099 8.1486 8.1167
Al 1.4320 2.4435 3.2302
Al 1.4167 7.3428 5.0627
Al 1.4164 4.0771 5.6594
Al 1.4162 0.8114 6.2561
Al 1.4009 5.7107 8.0886
Al 2.8428 0.0056 3.2021
Al 2.8406 4.9114 3.1988
Al 1.4149 0.8037 9.6525
Al 4.2547 2.4613 1.6936
Al 2.7904 8.1488 7.9852
Al 2.8301 3.2489 8.1132
Al 4.2434 7.3409 3.1850
Al 4.2438 2.4497 5.1099
O -1.4380 7.4445 6.7747
O -1.4018 2.4293 6.9403
O 0.0121 6.5352 2.3753
O 0.0466 1.5712 2.3410
O -1.4437 -0.8629 8.9302
O -1.4141 4.0540 8.9763
O -0.0811 8.2339 4.5286
O -1.6248 6.0580 11.3092
O 0.0900 3.2943 4.5186
O -0.0764 -0.0768 6.8394
O 0.0795 4.8447 6.7744
O 1.3795 9.0387 2.3305
O 1.4227 4.0748 2.4392
O -0.0110 1.6162 8.9978
O -0.0084 6.5206 8.9270
O 1.4338 0.8028 4.4242
O 1.4234 5.6177 4.5217
O 1.4094 2.5365 6.7971
O 1.3991 7.3514 6.8946
O 2.8413 1.6337 2.3918
O 2.8439 6.5380 2.3210
O 1.4102 4.0794 8.8796
O 1.4534 -0.8845 8.9883
O 2.7534 3.3095 4.5444
O 2.9092 8.2310 4.4794
O 2.7429 4.8599 6.8002
O 4.4577 2.0962 0.0096
O 2.9140 -0.0797 6.7902
O 4.2470 4.1002 2.3425
O 4.2765 9.0172 2.3886
O 2.7863 6.5830 8.9778
O 2.8208 1.6190 8.9435
O 4.2347 5.7249 4.3785
O 4.2709 0.7097 4.5441
```

***

Theoretical X-ray powder pattern of LaSm3 for Cu Kα X-rays, from a cell relaxed with GGA-PBE.
No peak broadening, texture or thermal motion is included.

The 6 most intense peaks (15 to 90 degrees two-theta), by angle:
2θ/deg	I/Imax
27.76	24
30.37	25
31.72	100
49.10	20
54.82	21
58.84	23

Cell and atoms:
```
8
Lattice="7.4215 0.0000 0.0000 -3.7108 6.4272 0.0000 0.0000 0.0000 5.8863" Properties=species:S:1:pos:R:3 pbc="T T T"
La 0.0000 4.2848 1.4716
La 3.7108 2.1424 4.4147
Sm 0.0000 2.1296 4.4147
Sm -1.8665 5.3624 4.4147
Sm 1.8443 1.0648 1.4716
Sm 1.8665 5.3624 4.4147
Sm 5.5772 1.0648 1.4716
Sm 3.7108 4.2976 1.4716
```

***

Theoretical X-ray powder pattern of Li6Hf2O7 for Cu Kα X-rays, from a cell relaxed with GGA-PBE.
No peak broadening, texture or thermal motion is included.

The 6 most intense peaks (15 to 90 degrees two-theta), by angle:
2θ/deg	I/Imax
17.25	100
20.59	68
22.38	40
27.01	52
31.32	25
42.34	37

Cell and atoms:
```
30
Lattice="5.3475 0.0000 0.0000 0.0000 6.0585 0.0000 -3.5802 0.0000 9.7144" Properties=species:S:1:pos:R:3 pbc="T T T"
Li 0.4279 0.0255 1.2072
Li -1.3622 3.0037 6.0644
Li -0.1477 1.3367 3.4784
Li -1.9378 1.6926 8.3356
Li -1.9170 4.4241 8.3680
Li -0.1269 4.6636 3.5108
Li 1.8941 1.3949 6.2036
Li 3.6842 1.6344 1.3464
Li 3.7051 4.3659 1.3788
Li 1.9150 4.7218 6.2360
Li 3.1294 3.0547 3.6500
Li 1.3394 6.0330 8.5071
Hf -0.8279 0.0253 6.1559
Hf 0.9622 3.0039 1.2987
Hf 0.8051 3.0546 8.4157
Hf 2.5952 6.0332 3.5585
O 0.0294 4.4367 0.0241
O -1.7607 4.6510 4.8813
O -2.4687 0.0295 7.3422
O -0.6786 2.9997 2.4850
O 1.7357 1.3944 2.3395
O -0.0544 1.6349 7.1967
O 0.8836 0.0000 4.8572
O 2.6737 3.0292 0.0000
O 1.8217 4.4236 2.5177
O 0.0316 4.6641 7.3749
O 2.4459 3.0588 7.2293
O 4.2360 6.0290 2.3721
O 3.5280 1.4075 4.8331
O 1.7379 1.6218 9.6903
```